No. 1
Er2Al6Pd: theoretical XRD peak list (Cu Kα X-rays), based on DFT lattice parameters and positions (GGA-PBE).

Peak list (10 most intense, 15 to 90 degrees two-theta, sorted by position)
2θ = 15.06°, d = 5.882 Å, intensity 653; 2θ = 23.33°, d = 3.813 Å, intensity 611; 2θ = 30.94°, d = 2.891 Å, intensity 813; 2θ = 34.57°, d = 2.594 Å, intensity 1000; 2θ = 35.40°, d = 2.536 Å, intensity 909; 2θ = 39.11°, d = 2.303 Å, intensity 678; 2θ = 49.96°, d = 1.826 Å, intensity 285; 2θ = 57.95°, d = 1.591 Å, intensity 400; 2θ = 64.47°, d = 1.445 Å, intensity 236; 2θ = 68.97°, d = 1.362 Å, intensity 241

Structural model:
Lattice parameters (Å, degrees): 5.781 5.781 5.882 90.00 90.00 120.00
Fractional positions:
Er1 0.333 0.667 0.135
Er2 0.667 0.333 0.865
Al1 0.174 0.348 0.679
Al2 0.174 0.826 0.679
Al3 0.348 0.174 0.321
Al4 0.652 0.826 0.679
Al5 0.826 0.174 0.321
Al6 0.826 0.652 0.321
Pd1 0.000 0.000 0.000


No. 2
Er2Al5Pd: theoretical XRD peak list (Cu Kα X-rays), based on DFT lattice parameters and positions (GGA-PBE).

Peak list (10 most intense, 15 to 90 degrees two-theta, sorted by position)
2θ = 20.97°, d = 4.236 Å, intensity 401; 2θ = 21.09°, d = 4.212 Å, intensity 231; 2θ = 29.97°, d = 2.982 Å, intensity 534; 2θ = 36.89°, d = 2.436 Å, intensity 1000; 2θ = 42.69°, d = 2.118 Å, intensity 166; 2θ = 42.94°, d = 2.106 Å, intensity 326; 2θ = 48.27°, d = 1.885 Å, intensity 238; 2θ = 53.06°, d = 1.726 Å, intensity 138; 2θ = 62.16°, d = 1.493 Å, intensity 217; 2θ = 74.70°, d = 1.271 Å, intensity 252

Structural model:
Lattice parameters (Å, degrees): 5.957 5.957 8.471 90.00 90.00 90.00
Fractional positions:
Er1 0.000 0.500 0.000
Er2 0.000 0.500 0.500
Er3 0.500 0.000 0.000
Er4 0.500 0.000 0.500
Al1 0.000 0.000 0.000
Al2 0.250 0.250 0.250
Al3 0.250 0.250 0.750
Al4 0.250 0.750 0.250
Al5 0.250 0.750 0.750
Al6 0.500 0.500 0.500
Al7 0.750 0.250 0.250
Al8 0.750 0.250 0.750
Al9 0.750 0.750 0.250
Al10 0.750 0.750 0.750
Pd1 0.000 0.000 0.500
Pd2 0.500 0.500 0.000


No. 3
Er2AlPd4: theoretical XRD peak list (Cu Kα X-rays), based on DFT lattice parameters and positions (GGA-PBE).

Peak list (10 most intense, 15 to 90 degrees two-theta, sorted by position)
2θ = 23.27°, d = 3.822 Å, intensity 411; 2θ = 26.50°, d = 3.364 Å, intensity 543; 2θ = 34.12°, d = 2.628 Å, intensity 279; 2θ = 34.52°, d = 2.598 Å, intensity 809; 2θ = 37.39°, d = 2.405 Å, intensity 496; 2θ = 39.63°, d = 2.274 Å, intensity 1000; 2θ = 40.81°, d = 2.211 Å, intensity 510; 2θ = 47.57°, d = 1.911 Å, intensity 342; 2θ = 56.15°, d = 1.638 Å, intensity 313; 2θ = 64.44°, d = 1.446 Å, intensity 262

Structural model:
Lattice parameters (Å, degrees): 8.050 7.629 4.756 77.25 67.57 35.18
Fractional positions:
Er1 0.131 0.131 0.869
Er2 0.869 0.869 0.131
Al1 0.500 0.500 0.500
Pd1 0.000 0.000 0.500
Pd2 0.326 0.326 0.674
Pd3 0.500 0.500 0.000
Pd4 0.674 0.674 0.326


No. 4
PmErAlPd: theoretical XRD peak list (Cu Kα X-rays), based on DFT lattice parameters and positions (GGA-PBE).

Peak list (10 most intense, 15 to 90 degrees two-theta, sorted by position)
2θ = 21.32°, d = 4.168 Å, intensity 82; 2θ = 24.66°, d = 3.610 Å, intensity 190; 2θ = 35.16°, d = 2.552 Å, intensity 1000; 2θ = 41.49°, d = 2.177 Å, intensity 44; 2θ = 43.42°, d = 2.084 Å, intensity 59; 2θ = 50.57°, d = 1.805 Å, intensity 177; 2θ = 57.05°, d = 1.614 Å, intensity 80; 2θ = 63.09°, d = 1.474 Å, intensity 364; 2θ = 74.33°, d = 1.276 Å, intensity 112; 2θ = 84.97°, d = 1.141 Å, intensity 160

Structural model:
Lattice parameters (Å, degrees): 7.219 7.219 7.219 90.00 90.00 90.00
Fractional positions:
Pm1 0.000 0.000 0.000
Pm2 0.000 0.500 0.500
Pm3 0.500 0.000 0.500
Pm4 0.500 0.500 0.000
Er1 0.000 0.000 0.500
Er2 0.000 0.500 0.000
Er3 0.500 0.000 0.000
Er4 0.500 0.500 0.500
Al1 0.250 0.250 0.250
Al2 0.250 0.750 0.750
Al3 0.750 0.250 0.750
Al4 0.750 0.750 0.250
Pd1 0.250 0.250 0.750
Pd2 0.250 0.750 0.250
Pd3 0.750 0.250 0.250
Pd4 0.750 0.750 0.750


No. 5
TbErAlPd: theoretical XRD peak list (Cu Kα X-rays), based on DFT lattice parameters and positions (GGA-PBE).

Peak list (10 most intense, 15 to 90 degrees two-theta, sorted by position)
2θ = 25.56°, d = 3.485 Å, intensity 314; 2θ = 32.11°, d = 2.787 Å, intensity 1000; 2θ = 33.90°, d = 2.644 Å, intensity 400; 2θ = 38.08°, d = 2.363 Å, intensity 222; 2θ = 39.61°, d = 2.275 Å, intensity 280; 2θ = 40.38°, d = 2.234 Å, intensity 219; 2θ = 48.33°, d = 1.883 Å, intensity 131; 2θ = 53.72°, d = 1.706 Å, intensity 217; 2θ = 64.76°, d = 1.440 Å, intensity 133; 2θ = 77.96°, d = 1.226 Å, intensity 125

Structural model:
Lattice parameters (Å, degrees): 4.468 3.766 11.139 90.00 90.00 90.00
Fractional positions:
Tb1 0.000 0.000 0.000
Tb2 0.000 0.500 0.500
Er1 0.500 0.000 0.293
Er2 0.500 0.500 0.793
Al1 0.000 0.000 0.719
Al2 0.000 0.500 0.219
Pd1 0.500 0.000 0.578
Pd2 0.500 0.500 0.078


No. 6
TbEr2AlPd4: theoretical XRD peak list (Cu Kα X-rays), based on DFT lattice parameters and positions (GGA-PBE).

Peak list (10 most intense, 15 to 90 degrees two-theta, sorted by position)
2θ = 21.71°, d = 4.094 Å, intensity 72; 2θ = 28.53°, d = 3.129 Å, intensity 135; 2θ = 37.20°, d = 2.417 Å, intensity 902; 2θ = 37.48°, d = 2.400 Å, intensity 1000; 2θ = 44.12°, d = 2.052 Å, intensity 72; 2θ = 53.84°, d = 1.703 Å, intensity 309; 2θ = 66.88°, d = 1.399 Å, intensity 110; 2θ = 67.44°, d = 1.389 Å, intensity 312; 2θ = 67.63°, d = 1.385 Å, intensity 175; 2θ = 79.97°, d = 1.200 Å, intensity 109

Structural model:
Lattice parameters (Å, degrees): 8.394 8.394 8.394 33.22 33.22 33.22
Fractional positions:
Tb1 0.000 0.000 0.000
Er1 0.245 0.245 0.245
Er2 0.755 0.755 0.755
Al1 0.500 0.500 0.500
Pd1 0.127 0.127 0.127
Pd2 0.388 0.388 0.388
Pd3 0.612 0.612 0.612
Pd4 0.873 0.873 0.873


No. 7
Er4AlZn2Pd: theoretical XRD peak list (Cu Kα X-rays), based on DFT lattice parameters and positions (GGA-PBE).

Peak list (10 most intense, 15 to 90 degrees two-theta, sorted by position)
2θ = 20.88°, d = 4.255 Å, intensity 20; 2θ = 25.23°, d = 3.530 Å, intensity 205; 2θ = 35.99°, d = 2.496 Å, intensity 1000; 2θ = 44.46°, d = 2.038 Å, intensity 62; 2θ = 51.81°, d = 1.765 Å, intensity 174; 2θ = 58.47°, d = 1.578 Å, intensity 85; 2θ = 64.69°, d = 1.441 Å, intensity 350; 2θ = 76.31°, d = 1.248 Å, intensity 107; 2θ = 81.88°, d = 1.176 Å, intensity 42; 2θ = 87.37°, d = 1.116 Å, intensity 153

Structural model:
Lattice parameters (Å, degrees): 8.651 8.651 8.651 33.52 33.52 33.52
Fractional positions:
Er1 0.122 0.122 0.122
Er2 0.373 0.373 0.373
Er3 0.627 0.627 0.627
Er4 0.878 0.878 0.878
Al1 0.500 0.500 0.500
Zn1 0.245 0.245 0.245
Zn2 0.755 0.755 0.755
Pd1 0.000 0.000 0.000


No. 8
Pm5ErAl3: theoretical XRD peak list (Cu Kα X-rays), based on DFT lattice parameters and positions (GGA-PBE).

Peak list (10 most intense, 15 to 90 degrees two-theta, sorted by position)
2θ = 19.21°, d = 4.619 Å, intensity 138; 2θ = 23.30°, d = 3.817 Å, intensity 439; 2θ = 32.78°, d = 2.732 Å, intensity 1000; 2θ = 33.60°, d = 2.667 Å, intensity 868; 2θ = 47.65°, d = 1.909 Å, intensity 351; 2θ = 59.57°, d = 1.552 Å, intensity 361; 2θ = 60.09°, d = 1.540 Å, intensity 162; 2θ = 65.24°, d = 1.430 Å, intensity 254; 2θ = 80.08°, d = 1.198 Å, intensity 154; 2θ = 85.15°, d = 1.140 Å, intensity 123

Structural model:
Lattice parameters (Å, degrees): 9.239 9.239 6.777 90.00 90.00 120.00
Fractional positions:
Pm1 0.000 0.335 0.250
Pm2 0.000 0.665 0.750
Pm3 0.333 0.667 0.000
Pm4 0.333 0.667 0.500
Pm5 0.335 0.000 0.250
Pm6 0.335 0.335 0.750
Pm7 0.665 0.000 0.750
Pm8 0.665 0.665 0.250
Pm9 0.667 0.333 0.000
Pm10 0.667 0.333 0.500
Er1 0.000 0.000 0.000
Er2 0.000 0.000 0.500
Al1 0.000 0.327 0.750
Al2 0.000 0.673 0.250
Al3 0.327 0.000 0.750
Al4 0.327 0.327 0.250
Al5 0.673 0.000 0.250
Al6 0.673 0.673 0.750


No. 9
PmEr4Al2: theoretical XRD peak list (Cu Kα X-rays), based on DFT lattice parameters and positions (GGA-PBE).

Peak list (10 most intense, 15 to 90 degrees two-theta, sorted by position)
2θ = 17.12°, d = 5.180 Å, intensity 269; 2θ = 23.11°, d = 3.849 Å, intensity 280; 2θ = 30.14°, d = 2.965 Å, intensity 816; 2θ = 30.92°, d = 2.892 Å, intensity 1000; 2θ = 31.09°, d = 2.877 Å, intensity 626; 2θ = 31.84°, d = 2.810 Å, intensity 241; 2θ = 35.55°, d = 2.525 Å, intensity 352; 2θ = 37.54°, d = 2.396 Å, intensity 523; 2θ = 60.33°, d = 1.534 Å, intensity 234; 2θ = 69.43°, d = 1.354 Å, intensity 248

Structural model:
Lattice parameters (Å, degrees): 7.741 6.655 6.166 74.17 55.80 50.03
Fractional positions:
Pm1 0.000 0.000 0.000
Er1 0.250 0.250 0.250
Er2 0.338 0.662 0.338
Er3 0.662 0.338 0.662
Er4 0.750 0.750 0.750
Al1 0.276 0.276 0.724
Al2 0.724 0.724 0.276


No. 10
Pm15Er4Al: theoretical XRD peak list (Cu Kα X-rays), based on DFT lattice parameters and positions (GGA-PBE).

Peak list (10 most intense, 15 to 90 degrees two-theta, sorted by position)
2θ = 30.57°, d = 2.924 Å, intensity 1000; 2θ = 35.27°, d = 2.545 Å, intensity 165; 2θ = 35.53°, d = 2.526 Å, intensity 339; 2θ = 50.93°, d = 1.793 Å, intensity 232; 2θ = 51.13°, d = 1.786 Å, intensity 121; 2θ = 60.41°, d = 1.532 Å, intensity 131; 2θ = 60.75°, d = 1.524 Å, intensity 284; 2θ = 63.64°, d = 1.462 Å, intensity 119; 2θ = 83.03°, d = 1.163 Å, intensity 107; 2θ = 83.33°, d = 1.160 Å, intensity 59

Structural model:
Lattice parameters (Å, degrees): 5.053 5.053 25.446 90.00 90.00 90.00
Fractional positions:
Pm1 0.000 0.000 0.000
Pm2 0.000 0.000 0.196
Pm3 0.000 0.000 0.398
Pm4 0.000 0.000 0.602
Pm5 0.000 0.000 0.804
Pm6 0.000 0.500 0.094
Pm7 0.000 0.500 0.297
Pm8 0.000 0.500 0.500
Pm9 0.000 0.500 0.703
Pm10 0.000 0.500 0.906
Pm11 0.500 0.000 0.094
Pm12 0.500 0.000 0.297
Pm13 0.500 0.000 0.500
Pm14 0.500 0.000 0.703
Pm15 0.500 0.000 0.906
Er1 0.500 0.500 0.196
Er2 0.500 0.500 0.399
Er3 0.500 0.500 0.601
Er4 0.500 0.500 0.804
Al1 0.500 0.500 0.000


No. 11
PmEr3Al2: theoretical XRD peak list (Cu Kα X-rays), based on DFT lattice parameters and positions (GGA-PBE).

Peak list (10 most intense, 15 to 90 degrees two-theta, sorted by position)
2θ = 25.22°, d = 3.531 Å, intensity 236; 2θ = 26.21°, d = 3.400 Å, intensity 181; 2θ = 28.42°, d = 3.141 Å, intensity 178; 2θ = 29.01°, d = 3.078 Å, intensity 241; 2θ = 33.19°, d = 2.700 Å, intensity 1000; 2θ = 35.97°, d = 2.497 Å, intensity 535; 2θ = 46.46°, d = 1.955 Å, intensity 189; 2θ = 51.78°, d = 1.766 Å, intensity 190; 2θ = 57.61°, d = 1.600 Å, intensity 186; 2θ = 62.89°, d = 1.478 Å, intensity 318

Structural model:
Lattice parameters (Å, degrees): 3.531 3.531 12.562 90.00 90.00 90.00
Fractional positions:
Pm1 0.000 0.000 0.000
Er1 0.500 0.500 0.206
Er2 0.500 0.500 0.500
Er3 0.500 0.500 0.794
Al1 0.000 0.000 0.352
Al2 0.000 0.000 0.648


No. 12
Pm9Er4Al11: theoretical XRD peak list (Cu Kα X-rays), based on DFT lattice parameters and positions (GGA-PBE).

Peak list (10 most intense, 15 to 90 degrees two-theta, sorted by position)
2θ = 22.34°, d = 3.979 Å, intensity 490; 2θ = 24.18°, d = 3.681 Å, intensity 691; 2θ = 25.72°, d = 3.463 Å, intensity 976; 2θ = 33.16°, d = 2.702 Å, intensity 1000; 2θ = 34.33°, d = 2.612 Å, intensity 863; 2θ = 34.75°, d = 2.582 Å, intensity 563; 2θ = 35.59°, d = 2.522 Å, intensity 908; 2θ = 38.63°, d = 2.331 Å, intensity 397; 2θ = 42.41°, d = 2.131 Å, intensity 725; 2θ = 60.75°, d = 1.525 Å, intensity 411

Structural model:
Lattice parameters (Å, degrees): 13.611 13.611 3.463 90.00 90.00 108.44
Fractional positions:
Pm1 0.000 0.000 0.000
Pm2 0.118 0.655 0.000
Pm3 0.294 0.476 0.000
Pm4 0.345 0.882 0.000
Pm5 0.476 0.294 0.000
Pm6 0.524 0.706 0.000
Pm7 0.655 0.118 0.000
Pm8 0.706 0.524 0.000
Pm9 0.882 0.345 0.000
Er1 0.083 0.254 0.000
Er2 0.254 0.083 0.000
Er3 0.746 0.917 0.000
Er4 0.917 0.746 0.000
Al1 0.082 0.449 0.500
Al2 0.124 0.876 0.500
Al3 0.277 0.277 0.500
Al4 0.320 0.680 0.500
Al5 0.449 0.082 0.500
Al6 0.500 0.500 0.500
Al7 0.551 0.918 0.500
Al8 0.680 0.320 0.500
Al9 0.723 0.723 0.500
Al10 0.876 0.124 0.500
Al11 0.918 0.551 0.500


No. 13
Pm3Er4Al4: theoretical XRD peak list (Cu Kα X-rays), based on DFT lattice parameters and positions (GGA-PBE).

Peak list (10 most intense, 15 to 90 degrees two-theta, sorted by position)
2θ = 23.50°, d = 3.786 Å, intensity 594; 2θ = 27.70°, d = 3.220 Å, intensity 371; 2θ = 29.47°, d = 3.031 Å, intensity 301; 2θ = 30.32°, d = 2.948 Å, intensity 374; 2θ = 31.48°, d = 2.842 Å, intensity 938; 2θ = 31.80°, d = 2.814 Å, intensity 401; 2θ = 34.98°, d = 2.565 Å, intensity 1000; 2θ = 45.19°, d = 2.007 Å, intensity 200; 2θ = 62.73°, d = 1.481 Å, intensity 209; 2θ = 69.58°, d = 1.351 Å, intensity 197

Structural model:
Lattice parameters (Å, degrees): 9.461 9.461 9.461 148.53 136.76 54.45
Fractional positions:
Pm1 0.000 0.000 0.000
Pm2 0.395 0.895 0.500
Pm3 0.605 0.105 0.500
Er1 0.051 0.321 0.730
Er2 0.409 0.679 0.730
Er3 0.591 0.321 0.270
Er4 0.949 0.679 0.270
Al1 0.181 0.181 0.000
Al2 0.306 0.500 0.806
Al3 0.694 0.500 0.194
Al4 0.819 0.819 0.000


No. 14
Pr3Er2Al3: theoretical XRD peak list (Cu Kα X-rays), based on DFT lattice parameters and positions (GGA-PBE).

Peak list (10 most intense, 15 to 90 degrees two-theta, sorted by position)
2θ = 20.60°, d = 4.312 Å, intensity 493; 2θ = 23.83°, d = 3.734 Å, intensity 356; 2θ = 26.83°, d = 3.322 Å, intensity 560; 2θ = 31.70°, d = 2.823 Å, intensity 1000; 2θ = 34.07°, d = 2.632 Å, intensity 669; 2θ = 36.08°, d = 2.489 Å, intensity 427; 2θ = 36.19°, d = 2.482 Å, intensity 402; 2θ = 42.00°, d = 2.151 Å, intensity 776; 2θ = 56.48°, d = 1.629 Å, intensity 288; 2θ = 63.59°, d = 1.463 Å, intensity 350

Structural model:
Lattice parameters (Å, degrees): 8.624 8.624 3.322 90.00 90.00 120.00
Fractional positions:
Pr1 0.000 0.245 0.000
Pr2 0.245 0.000 0.000
Pr3 0.755 0.755 0.000
Er1 0.333 0.667 0.000
Er2 0.667 0.333 0.000
Al1 0.000 0.609 0.500
Al2 0.391 0.391 0.500
Al3 0.609 0.000 0.500